1.
Starting from a structure optimized by DFT (PBE), the powder X-ray diffraction pattern of LaSbSe was calculated for Cu Kα (weighted mean of Kα1 and Kα2).
Intensities are scaled so that the largest is 100.

Structural model:
Cell lengths 9.662, 4.621, 9.888 Å; angles 90.00, 117.68, 90.00 degrees
Space group C2/m (No. 12)
Unique sites:
La: 0.236 0.000 0.292
Sb: 0.160 0.000 0.912
Se: 0.083 0.500 0.363

Most intense lines, 15° ≤ 2θ ≤ 90°, most intense first:
2θ = 34.2°, I = 100; 2θ = 33.6°, I = 95; 2θ = 22.0°, I = 77; 2θ = 39.0°, I = 70; 2θ = 20.8°, I = 46; 2θ = 35.5°, I = 38; 2θ = 33.2°, I = 29; 2θ = 37.0°, I = 23; 2θ = 53.7°, I = 23; 2θ = 27.9°, I = 22

---

2.
Starting from a structure optimized by DFT (PBE), the powder X-ray diffraction pattern of K11Rb17Na was calculated for Cu Kα (weighted mean of Kα1 and Kα2).
Intensities are scaled so that the largest is 100.

Structural model:
Cell lengths 16.783, 23.969, 14.439 Å; angles 90.00, 125.17, 90.00 degrees
Space group Cm (No. 8)
Unique sites:
K: 0.000 0.000 0.000
K: 0.026 0.409 0.164
K: 0.083 0.090 0.523
K: 0.119 0.315 0.975
K: 0.212 0.408 0.792
K: 0.308 0.316 0.352
Rb: 0.100 0.297 0.479
Rb: 0.207 0.000 0.882
Rb: 0.258 0.138 0.165
Rb: 0.285 0.202 0.847
Rb: 0.301 0.500 0.520
Rb: 0.307 0.500 0.165
Rb: 0.361 0.154 0.562
Rb: 0.448 0.000 0.806
Rb: 0.462 0.342 0.757
Rb: 0.474 0.000 0.437
Rb: 0.483 0.324 0.164
Na: 0.173 0.000 0.347

Most intense lines, 15° ≤ 2θ ≤ 90°, most intense first:
2θ = 22.4°, I = 100; 2θ = 22.5°, I = 99; 2θ = 22.3°, I = 43; 2θ = 39.4°, I = 28; 2θ = 24.7°, I = 20; 2θ = 39.2°, I = 18; 2θ = 22.6°, I = 18; 2θ = 21.1°, I = 17; 2θ = 39.5°, I = 17; 2θ = 39.6°, I = 11